(1)
For HoFe2, a cell relaxed with PBE gives the computed PXRD pattern in this record (Cu Kα, 1.54184 Å).
Intensities are scaled so that the largest is 100.

Peak list (10 most intense, 2θ from 5° to 70°, low angle first)
d_spacing	two_theta	I_rel	hkl
4.465	19.9	13	1 1 0
3.041	29.4	16	1 1 2
2.578	34.8	69	2 0 0
2.353	38.3	97	0 2 3
2.233	40.4	16	0 4 0
2.190	41.2	100	2 0 2
2.156	41.9	52	2 2 1
1.557	59.4	13	0 2 5
1.441	64.7	41	1 5 3
1.401	66.8	23	3 3 2

Structural model:
```
data_HoFe2
_symmetry_space_group_name_H-M 'C m c m'
_symmetry_Int_Tables_number 63
_symmetry_space_group_name_Hall '-C 2c 2'
_cell_length_a 5.153
_cell_length_b 8.936
_cell_length_c 8.304
_cell_angle_alpha 90.00
_cell_angle_beta 90.00
_cell_angle_gamma 90.00
loop_
_atom_site_label
_atom_site_fract_x
_atom_site_fract_y
_atom_site_fract_z
_atom_site_occupancy
Ho1 0.000 0.166 0.062 1
Fe1 0.000 0.334 0.750 1
Fe2 0.000 0.500 0.000 1
Fe3 0.249 0.417 0.250 1
```

=====

(2)
For TiS2, a cell relaxed with PBE gives the computed PXRD pattern in this record (Cu Kα, 1.54184 Å).
Intensities are scaled so that the largest is 100.

Peak list (10 most intense, 2θ from 5° to 70°, low angle first)
d_spacing	two_theta	I_rel	hkl
8.299	10.7	90	0 0 1
5.643	15.7	15	0 1 1
5.585	15.9	100	0 1 0
4.497	19.7	21	1 0 1
3.748	23.7	17	1 1 2
2.854	31.3	22	1 -1 1
2.535	35.4	29	1 2 3
2.308	39.0	18	2 1 -2
2.168	41.7	14	1 -2 0
1.980	45.8	17	1 0 -4

Structural model:
```
data_TiS2
_symmetry_space_group_name_H-M 'P -1'
_symmetry_Int_Tables_number 2
_cell_length_a 6.105
_cell_length_b 6.544
_cell_length_c 8.908
_cell_angle_alpha 68.95
_cell_angle_beta 84.38
_cell_angle_gamma 65.73
loop_
_symmetry_equiv_pos_as_xyz
'x,y,z'
'-x,-y,-z'
loop_
_atom_site_label
_atom_site_fract_x
_atom_site_fract_y
_atom_site_fract_z
_atom_site_occupancy
Ti1 0.000 0.000 0.000 1
Ti2 0.000 0.000 0.500 1
Ti3 0.500 0.204 0.127 1
S1 0.132 0.081 0.717 1
S2 0.212 0.597 0.997 1
S3 0.251 0.162 0.351 1
S4 0.375 0.906 0.113 1
```

=====

(3)
For Ru3F, a cell relaxed with PBE gives the computed PXRD pattern in this record (Cu Kα, 1.54184 Å).
Intensities are scaled so that the largest is 100.

Peak list (7 most intense, 2θ from 5° to 70°, low angle first)
d_spacing	two_theta	I_rel	hkl
3.443	25.9	17	1 1 1
2.981	30.0	9	2 0 0
2.108	42.9	100	2 2 0
1.798	50.8	8	3 1 1
1.721	53.2	2	2 2 2
1.491	62.3	16	4 0 0
1.368	68.6	3	3 3 1

Structural model:
```
data_Ru3F
_symmetry_space_group_name_H-M 'F m -3 m'
_symmetry_Int_Tables_number 225
_symmetry_space_group_name_Hall '-F 4 2 3'
_cell_length_a 5.963
_cell_length_b 5.963
_cell_length_c 5.963
_cell_angle_alpha 90.00
_cell_angle_beta 90.00
_cell_angle_gamma 90.00
loop_
_atom_site_label
_atom_site_fract_x
_atom_site_fract_y
_atom_site_fract_z
_atom_site_occupancy
Ru1 0.000 0.000 0.000 1
Ru2 0.250 0.250 0.250 1
F1 0.000 0.000 0.500 1
```

=====

(4)
For SmCu3Te3, a cell relaxed with PBE gives the computed PXRD pattern in this record (Cu Kα, 1.54184 Å).
Intensities are scaled so that the largest is 100.

Peak list (10 most intense, 2θ from 5° to 70°, low angle first)
d_spacing	two_theta	I_rel	hkl
3.758	23.7	15	1 1 0
3.558	25.0	17	0 0 6
3.322	26.8	100	2 -1 3
2.583	34.7	84	2 -1 6
2.170	41.6	91	3 0 0
2.005	45.2	52	1 1 9
1.817	50.2	18	2 2 3
1.661	55.3	22	2 2 6
1.600	57.6	15	3 0 9
1.472	63.1	18	4 -2 9

Structural model:
```
data_SmCu3Te3
_symmetry_space_group_name_H-M 'R -3'
_symmetry_Int_Tables_number 148
_symmetry_space_group_name_Hall '-R 3'
_cell_length_a 7.5162
_cell_length_b 7.5162
_cell_length_c 21.3284
_cell_angle_alpha 90.00
_cell_angle_beta 90.00
_cell_angle_gamma 120.00
loop_
_atom_site_label
_atom_site_fract_x
_atom_site_fract_y
_atom_site_fract_z
_atom_site_occupancy
Sm1 0.0000 0.0000 0.1663 1
Cu1 0.0019 0.6555 0.6233 1
Te1 0.0009 0.6764 0.4150 1
```

=====

(5)
For LaHg2, a cell relaxed with PBE gives the computed PXRD pattern in this record (Cu Kα, 1.54184 Å).
Intensities are scaled so that the largest is 100.

Peak list (10 most intense, 2θ from 5° to 70°, low angle first)
d_spacing	two_theta	I_rel	hkl
3.510	25.4	17	0 0 1
2.760	32.4	95	0 1 1
2.578	34.8	100	1 1 0
2.078	43.6	26	1 1 1
1.884	48.3	32	2 0 1
1.755	52.1	10	0 0 2
1.521	60.9	32	1 2 1
1.489	62.4	19	3 0 0
1.451	64.2	33	1 1 2
1.370	68.5	7	3 0 1

Structural model:
```
data_LaHg2
_symmetry_space_group_name_H-M 'P -3 m 1'
_symmetry_Int_Tables_number 164
_symmetry_space_group_name_Hall '-P 3 2"'
_cell_length_a 5.1568
_cell_length_b 5.1568
_cell_length_c 3.5101
_cell_angle_alpha 90.00
_cell_angle_beta 90.00
_cell_angle_gamma 120.00
loop_
_atom_site_label
_atom_site_fract_x
_atom_site_fract_y
_atom_site_fract_z
_atom_site_occupancy
La1 0.0000 0.0000 0.0000 1
Hg1 0.3333 0.6667 0.4794 1
```

=====

(6)
For Ag2O3, a cell relaxed with PBE gives the computed PXRD pattern in this record (Cu Kα, 1.54184 Å).
Intensities are scaled so that the largest is 100.

Peak list (10 most intense, 2θ from 5° to 70°, low angle first)
d_spacing	two_theta	I_rel	hkl
3.442	25.9	100	1 1 1
2.799	32.0	93	2 4 0
2.766	32.4	27	1 3 1
2.674	33.5	30	4 0 0
2.545	35.3	59	3 1 1
2.232	40.4	48	3 3 1
2.116	42.7	28	1 5 1
1.520	61.0	21	5 5 1
1.503	61.7	23	4 2 2
1.383	67.8	23	2 6 2

Structural model:
```
data_Ag2O3
_symmetry_space_group_name_H-M 'F d d 2'
_symmetry_Int_Tables_number 43
_symmetry_space_group_name_Hall 'F 2 -2d'
_cell_length_a 10.695
_cell_length_b 13.142
_cell_length_c 3.783
_cell_angle_alpha 90.00
_cell_angle_beta 90.00
_cell_angle_gamma 90.00
loop_
_atom_site_label
_atom_site_fract_x
_atom_site_fract_y
_atom_site_fract_z
_atom_site_occupancy
Ag1 0.117 0.297 0.000 1
O1 0.000 0.000 0.416 1
O2 0.017 0.168 0.883 1
```

=====

(7)
For Ti3NiS6, a cell relaxed with PBE gives the computed PXRD pattern in this record (Cu Kα, 1.54184 Å).
Intensities are scaled so that the largest is 100.

Peak list (10 most intense, 2θ from 5° to 70°, low angle first)
d_spacing	two_theta	I_rel	hkl
5.679	15.6	15	0 0 2
4.639	19.1	32	1 0 1
3.036	29.4	14	1 0 3
2.934	30.5	19	1 1 0
2.607	34.4	84	1 1 2
2.479	36.2	7	2 0 1
2.040	44.4	100	2 -1 4
1.694	54.1	47	3 0 0
1.591	58.0	15	2 -1 6
1.420	65.8	18	0 0 8

Structural model:
```
data_Ti3NiS6
_symmetry_space_group_name_H-M 'P -3 1 c'
_symmetry_Int_Tables_number 163
_symmetry_space_group_name_Hall '-P 3 2c'
_cell_length_a 5.8678
_cell_length_b 5.8678
_cell_length_c 11.3580
_cell_angle_alpha 90.00
_cell_angle_beta 90.00
_cell_angle_gamma 120.00
loop_
_atom_site_label
_atom_site_fract_x
_atom_site_fract_y
_atom_site_fract_z
_atom_site_occupancy
Ti1 0.0000 0.0000 0.0000 1
Ti2 0.3333 0.6667 0.0057 1
Ni1 0.3333 0.6667 0.7500 1
S1 0.0046 0.3355 0.8720 1
```

=====

(8)
For Sr2YCu2BiO7, a cell relaxed with PBE gives the computed PXRD pattern in this record (Cu Kα, 1.54184 Å).
Intensities are scaled so that the largest is 100.

Peak list (10 most intense, 2θ from 5° to 70°, low angle first)
d_spacing	two_theta	I_rel	hkl
3.670	24.3	30	2 1 1
3.278	27.2	39	4 1 1
2.834	31.6	100	6 1 1
2.717	33.0	38	0 2 0
2.708	33.1	37	0 0 2
2.523	35.6	16	10 0 0
2.057	44.0	25	8 2 0
1.918	47.4	38	0 2 2
1.590	58.0	19	6 3 1
1.587	58.1	18	6 1 3

Structural model:
```
data_Sr2YCu2BiO7
_symmetry_space_group_name_H-M 'I m a 2'
_symmetry_Int_Tables_number 46
_cell_length_a 25.235
_cell_length_b 5.434
_cell_length_c 5.416
_cell_angle_alpha 90.00
_cell_angle_beta 90.00
_cell_angle_gamma 90.00
loop_
_symmetry_equiv_pos_as_xyz
'x,y,z'
'-x,-y,z'
'-x+1/2,y,z'
'x+1/2,-y,z'
'x+1/2,y+1/2,z+1/2'
'-x+1/2,-y+1/2,z+1/2'
'-x,y+1/2,z+1/2'
'x,-y+1/2,z+1/2'
loop_
_atom_site_label
_atom_site_fract_x
_atom_site_fract_y
_atom_site_fract_z
_atom_site_occupancy
Sr1 0.139 0.003 0.000 1
Y1 0.000 0.000 0.003 1
Cu1 0.066 0.501 0.001 1
Bi1 0.250 0.010 0.531 1
O1 0.057 0.745 0.257 1
O2 0.059 0.245 0.245 1
O3 0.160 0.503 0.990 1
O4 0.250 0.093 0.937 1
```

=====

(9)
For Li2TiP5O15, a cell relaxed with PBE gives the computed PXRD pattern in this record (Cu Kα, 1.54184 Å).
Intensities are scaled so that the largest is 100.

Peak list (10 most intense, 2θ from 5° to 70°, low angle first)
d_spacing	two_theta	I_rel	hkl
8.687	10.2	42	0 0 1
7.304	12.1	35	0 1 1
5.328	16.6	36	0 2 1
4.872	18.2	100	1 0 -1
4.344	20.4	61	0 0 2
3.994	22.3	39	0 3 1
3.950	22.5	30	1 2 -1
3.454	25.8	56	1 2 1
2.810	31.8	27	1 4 0
2.184	41.3	29	1 5 -2

Structural model:
```
data_Li2TiP5O15
_symmetry_space_group_name_H-M 'P 1 21/m 1'
_symmetry_Int_Tables_number 11
_cell_length_a 5.205
_cell_length_b 13.491
_cell_length_c 8.901
_cell_angle_alpha 90.00
_cell_angle_beta 102.58
_cell_angle_gamma 90.00
loop_
_symmetry_equiv_pos_as_xyz
'x,y,z'
'-x,-y,-z'
'-x,y+1/2,-z'
'x,-y+1/2,z'
loop_
_atom_site_label
_atom_site_fract_x
_atom_site_fract_y
_atom_site_fract_z
_atom_site_occupancy
Li1 0.066 0.113 0.104 1
Ti1 0.500 0.000 0.500 1
P1 0.000 0.141 0.516 1
P2 0.344 0.076 0.816 1
P3 0.456 0.750 0.988 1
O1 0.045 0.250 0.459 1
O2 0.141 0.074 0.424 1
O3 0.141 0.145 0.693 1
O4 0.194 0.032 0.925 1
O5 0.195 0.750 0.877 1
O6 0.286 0.250 0.061 1
O7 0.291 0.626 0.497 1
O8 0.445 0.657 0.106 1
O9 0.491 0.009 0.728 1
```